Record 1
Structure and calculated PXRD pattern of Cs7Tl2Pt2 (a PBE-relaxed structure; CuKα).
Kinematic intensities with the Lorentz-polarization factor, no thermal factor.

Atomic structure:
```
data_Cs7Tl2Pt2
_space_group_name_H-M_alt 'C 1 2/m 1'
_space_group_IT_number 12
_space_group_name_Hall '-C 2y'
_cell_length_a 10.6715
_cell_length_b 17.0788
_cell_length_c 8.1947
_cell_angle_alpha 90.00
_cell_angle_beta 102.49
_cell_angle_gamma 90.00
loop_
_atom_site_label
_atom_site_type_symbol
_atom_site_fract_x
_atom_site_fract_y
_atom_site_fract_z
_atom_site_occupancy
Cs1 Cs 0.0000 0.0000 0.0000 1
Cs2 Cs 0.1583 0.5000 0.1951 1
Cs3 Cs 0.2018 0.1941 0.2555 1
Tl1 Tl 0.0000 0.3954 0.5000 1
Pt1 Pt 0.1627 0.5000 0.7055 1
```

Peak list (8 most intense, 2θ = 10–80°, by intensity)
| (hkl) | 2theta | intensity |
| --- | --- | --- |
| 1 1 -1 | 13.45 | 100 |
| 2 0 -2 | 24.96 | 51 |
| 3 3 0 | 30.14 | 48 |
| 0 4 2 | 30.65 | 45 |
| 0 2 0 | 10.36 | 37 |
| 1 5 2 | 36.85 | 28 |
| 1 3 2 | 30.03 | 28 |
| 2 4 0 | 27.05 | 27 |

Record 2
Structure and calculated PXRD pattern of Ca2DyTl (a PBE-relaxed structure; CuKα).
Kinematic intensities with the Lorentz-polarization factor, no thermal factor.

Atomic structure:
```
data_Ca2DyTl
_space_group_name_H-M_alt 'R 3 m'
_space_group_IT_number 160
_space_group_name_Hall 'R 3 -2"'
_cell_length_a 3.7262
_cell_length_b 3.7262
_cell_length_c 33.7109
_cell_angle_alpha 90.00
_cell_angle_beta 90.00
_cell_angle_gamma 120.00
loop_
_atom_site_label
_atom_site_type_symbol
_atom_site_fract_x
_atom_site_fract_y
_atom_site_fract_z
_atom_site_occupancy
Ca1 Ca 0.0000 0.0000 0.0000 1
Ca2 Ca 0.0000 0.0000 0.1821 1
Dy1 Dy 0.0000 0.0000 0.7569 1
Tl1 Tl 0.0000 0.0000 0.5911 1
```

Peak list (8 most intense, 2θ = 10–80°, by intensity)
| (hkl) | 2theta | intensity |
| --- | --- | --- |
| 0 1 5 | 30.72 | 100 |
| 0 0 6 | 15.77 | 82 |
| 1 0 7 | 33.43 | 73 |
| 1 0 1 | 27.77 | 54 |
| 1 1 12 | 59.52 | 49 |
| 0 0 12 | 31.86 | 38 |
| 0 1 2 | 28.16 | 37 |
| 1 1 0 | 48.89 | 37 |

Record 3
Structure and calculated PXRD pattern of Ba4NaBi3O12 (a PBE-relaxed structure; CuKα).
Kinematic intensities with the Lorentz-polarization factor, no thermal factor.

Atomic structure:
```
data_Ba4NaBi3O12
_space_group_name_H-M_alt 'I m -3 m'
_space_group_IT_number 229
_space_group_name_Hall '-I 4 2 3'
_cell_length_a 8.6993
_cell_length_b 8.6993
_cell_length_c 8.6993
_cell_angle_alpha 90.00
_cell_angle_beta 90.00
_cell_angle_gamma 90.00
loop_
_atom_site_label
_atom_site_type_symbol
_atom_site_fract_x
_atom_site_fract_y
_atom_site_fract_z
_atom_site_occupancy
Ba1 Ba 0.2500 0.2500 0.2500 1
Na1 Na 0.0000 0.0000 0.0000 1
Bi1 Bi 0.0000 0.0000 0.5000 1
O1 O 0.0000 0.0000 0.2651 1
O2 O 0.0000 0.2500 0.5000 1
```

Peak list (8 most intense, 2θ = 10–80°, by intensity)
| (hkl) | 2theta | intensity |
| --- | --- | --- |
| 2 2 0 | 29.03 | 100 |
| 4 2 2 | 51.46 | 42 |
| 4 0 0 | 41.52 | 29 |
| 6 2 0 | 68.18 | 19 |
| 4 4 0 | 60.17 | 19 |
| 1 1 0 | 14.40 | 15 |
| 2 1 1 | 25.07 | 8 |
| 4 4 4 | 75.75 | 6 |

Record 4
Structure and calculated PXRD pattern of Pm5Ge4 (a PBE-relaxed structure; CuKα).
Kinematic intensities with the Lorentz-polarization factor, no thermal factor.

Atomic structure:
```
data_Pm5Ge4
_space_group_name_H-M_alt 'I 4/m m m'
_space_group_IT_number 139
_space_group_name_Hall '-I 4 2'
_cell_length_a 10.7948
_cell_length_b 10.7948
_cell_length_c 3.8997
_cell_angle_alpha 90.00
_cell_angle_beta 90.00
_cell_angle_gamma 90.00
loop_
_atom_site_label
_atom_site_type_symbol
_atom_site_fract_x
_atom_site_fract_y
_atom_site_fract_z
_atom_site_occupancy
Pm1 Pm 0.0000 0.0000 0.0000 1
Pm2 Pm 0.0000 0.3067 0.0000 1
Ge1 Ge 0.1881 0.1881 0.5000 1
```

Peak list (8 most intense, 2θ = 10–80°, by intensity)
| (hkl) | 2theta | intensity |
| --- | --- | --- |
| 3 0 1 | 33.90 | 100 |
| 3 3 0 | 35.27 | 40 |
| 6 3 1 | 62.43 | 20 |
| 3 3 2 | 59.75 | 18 |
| 4 3 1 | 48.18 | 17 |
| 4 0 0 | 33.20 | 13 |
| 1 0 1 | 24.27 | 12 |
| 0 0 2 | 46.58 | 12 |

Record 5
Structure and calculated PXRD pattern of BaAg4 (a PBE-relaxed structure; CuKα).
Kinematic intensities with the Lorentz-polarization factor, no thermal factor.

Atomic structure:
```
data_BaAg4
_space_group_name_H-M_alt 'I -4 3 m'
_space_group_IT_number 217
_space_group_name_Hall 'I -4 2 3'
_cell_length_a 10.0610
_cell_length_b 10.0610
_cell_length_c 10.0610
_cell_angle_alpha 90.00
_cell_angle_beta 90.00
_cell_angle_gamma 90.00
loop_
_atom_site_label
_atom_site_type_symbol
_atom_site_fract_x
_atom_site_fract_y
_atom_site_fract_z
_atom_site_occupancy
Ba1 Ba 0.2173 0.2173 0.2173 1
Ag1 Ag 0.0000 0.0000 0.3577 1
Ag2 Ag 0.0000 0.2500 0.5000 1
Ag3 Ag 0.0999 0.0999 0.9001 1
```

Peak list (8 most intense, 2θ = 10–80°, by intensity)
| (hkl) | 2theta | intensity |
| --- | --- | --- |
| 4 1 1 | 37.94 | 100 |
| 2 2 2 | 30.79 | 74 |
| 3 2 1 | 33.32 | 52 |
| 5 3 2 | 56.37 | 33 |
| 4 0 0 | 35.70 | 19 |
| 5 5 0 | 65.61 | 19 |
| 2 2 0 | 25.03 | 18 |
| 5 1 0 | 46.00 | 17 |

Record 6
Structure and calculated PXRD pattern of LiPrSc2Tl4 (a PBE-relaxed structure; CuKα).
Kinematic intensities with the Lorentz-polarization factor, no thermal factor.

Atomic structure:
```
data_LiPrSc2Tl4
_space_group_name_H-M_alt 'R -3 m'
_space_group_IT_number 166
_space_group_name_Hall '-R 3 2"'
_cell_length_a 5.1401
_cell_length_b 5.1401
_cell_length_c 26.2587
_cell_angle_alpha 90.00
_cell_angle_beta 90.00
_cell_angle_gamma 120.00
loop_
_atom_site_label
_atom_site_type_symbol
_atom_site_fract_x
_atom_site_fract_y
_atom_site_fract_z
_atom_site_occupancy
Li1 Li 0.0000 0.0000 0.0000 1
Pr1 Pr 0.0000 0.0000 0.5000 1
Sc1 Sc 0.0000 0.0000 0.2541 1
Tl1 Tl 0.0000 0.0000 0.1173 1
Tl2 Tl 0.0000 0.0000 0.3702 1
```

Peak list (8 most intense, 2θ = 10–80°, by intensity)
| (hkl) | 2theta | intensity |
| --- | --- | --- |
| 1 1 0 | 34.91 | 100 |
| 0 1 8 | 33.93 | 99 |
| 1 0 4 | 24.16 | 71 |
| 2 0 8 | 49.49 | 40 |
| 1 2 8 | 61.99 | 38 |
| 3 0 0 | 62.60 | 19 |
| 0 2 4 | 42.91 | 18 |
| 2 1 4 | 56.46 | 16 |